For BaLi4, a cell relaxed with PBE gives the calculated powder diffractogram in this record (Cu Kα (λ = 1.5418 Å)).
Intensities are scaled so that the largest is 1000.

Top 10 peaks for 2θ from 10° to 90°, by intensity:
| 2θ/deg | Rel. int. | hkl |
| --- | --- | --- |
| 18.90 | 1000 | 2 0 0 |
| 27.89 | 898 | 2 0 2 |
| 27.12 | 434 | 2 1 1 |
| 30.33 | 395 | 3 0 1 |
| 20.33 | 373 | 0 0 2 |
| 43.25 | 324 | 3 2 1 |
| 13.84 | 269 | 1 0 1 |
| 45.81 | 230 | 2 0 4 |
| 22.44 | 215 | 1 0 2 |
| 52.86 | 211 | 3 2 3 |

```
data_BaLi4
_space_group_name_H-M_alt 'P 63/m m c'
_space_group_IT_number 194
_space_group_name_Hall '-P 6c 2c'
_cell_length_a 10.8439
_cell_length_b 10.8439
_cell_length_c 8.7379
_cell_angle_alpha 90.00
_cell_angle_beta 90.00
_cell_angle_gamma 120.00
loop_
_atom_site_label
_atom_site_fract_x
_atom_site_fract_y
_atom_site_fract_z
Ba1 0.0567 0.5283 0.2500
Li1 0.0000 0.0000 0.0000
Li2 0.0994 0.1988 0.2500
Li3 0.1633 0.3267 0.5666
Li4 0.3333 0.6667 0.5848
```